No. 1
The following is a computed X-ray powder pattern of BC9. It was derived from a cell relaxed with GGA-PBE, using CuKα.

Structure:
a b c (Å): 6.769 6.769 6.769
angles (deg): 158.56 38.31 148.64
Sites, in units of the cell vectors:
B 0.000 0.000 0.000
C 0.136 0.240 0.896
C 0.189 0.988 0.201
C 0.344 0.240 0.104
C 0.383 0.985 0.398
C 0.543 0.243 0.300
C 0.587 0.985 0.602
C 0.704 0.204 0.500
C 0.787 0.988 0.799
C 0.943 0.243 0.700

Top 6 peaks for 5° ≤ 2θ ≤ 70°, low angle first:
d (Å)	I (rel.)
6.394	5
3.518	3
3.197	1
2.776	1
2.096	98
2.074	100


No. 2
The following is a computed X-ray powder pattern of B3C7. It was derived from a cell relaxed with GGA-PBE, using CuKα.

Structure:
a b c (Å): 3.594 4.358 4.604
angles (deg): 86.53 68.42 69.27
Sites, in units of the cell vectors:
B 0.000 0.000 0.000
B 0.048 0.034 0.359
B 0.851 0.662 0.168
C 0.207 0.356 0.233
C 0.250 0.454 0.542
C 0.392 0.749 0.460
C 0.466 0.866 0.729
C 0.579 0.174 0.649
C 0.636 0.290 0.932
C 0.796 0.588 0.832

Top 10 peaks for 5° ≤ 2θ ≤ 70°, low angle first:
d (Å)	I (rel.)
4.268	22
4.062	4
3.121	6
3.067	7
2.184	87
2.166	100
2.075	89
2.069	90
1.798	3
1.756	2


No. 3
The following is a computed X-ray powder pattern of B3C. It was derived from a cell relaxed with GGA-PBE, using CuKα.

Structure:
a b c (Å): 5.017 2.773 6.082
angles (deg): 90.00 99.72 90.00
Sites, in units of the cell vectors:
B 0.000 0.000 0.000
B 0.008 0.000 0.613
B 0.024 0.500 0.421
B 0.237 0.500 0.648
B 0.388 0.500 0.926
B 0.418 0.500 0.417
B 0.721 0.000 0.752
B 0.813 0.000 0.319
B 0.938 0.500 0.149
C 0.341 0.000 0.051
C 0.485 0.000 0.297
C 0.561 0.500 0.709

Top 10 peaks for 5° ≤ 2θ ≤ 70°, low angle first:
d (Å)	I (rel.)
2.780	27
2.517	25
2.472	36
2.435	51
2.391	48
2.310	100
1.998	25
1.963	19
1.387	31
1.359	38


No. 4
The following is a computed X-ray powder pattern of B3C. It was derived from a cell relaxed with GGA-PBE, using CuKα.

Structure:
a b c (Å): 4.573 4.573 7.244
angles (deg): 107.61 107.61 35.04
Sites, in units of the cell vectors:
B 0.000 0.000 0.000
B 0.010 0.010 0.406
B 0.128 0.128 0.862
B 0.219 0.219 0.382
B 0.231 0.231 0.140
B 0.446 0.446 0.125
B 0.527 0.527 0.580
B 0.840 0.840 0.724
B 0.852 0.852 0.170
C 0.351 0.351 0.593
C 0.585 0.585 0.366
C 0.672 0.672 0.776

Top 10 peaks for 5° ≤ 2θ ≤ 70°, low angle first:
d (Å)	I (rel.)
6.870	34
3.185	25
2.528	55
2.307	100
2.188	53
2.180	33
1.995	31
1.386	40
1.377	35
1.374	32


No. 5
The following is a computed X-ray powder pattern of BC4. It was derived from a cell relaxed with GGA-PBE, using CuKα.

Structure:
a b c (Å): 6.880 6.880 6.880
angles (deg): 158.94 38.14 148.58
Sites, in units of the cell vectors:
B 0.199 0.000 0.199
B 0.801 0.000 0.801
C 0.151 0.246 0.905
C 0.342 0.246 0.095
C 0.393 0.989 0.403
C 0.514 0.209 0.305
C 0.586 0.989 0.597
C 0.749 0.249 0.500
C 0.903 0.209 0.695
C 0.991 0.991 0.000

Top 8 peaks for 5° ≤ 2θ ≤ 70°, low angle first:
d (Å)	I (rel.)
6.502	13
3.582	1
2.826	3
2.175	1
2.133	94
2.085	100
1.791	1
1.663	1


No. 6
The following is a computed X-ray powder pattern of B5C7. It was derived from a cell relaxed with GGA-PBE, using CuKα.

Structure:
a b c (Å): 6.429 6.429 3.570
angles (deg): 90.10 90.10 147.75
Sites, in units of the cell vectors:
B 0.000 0.000 0.000
B 0.178 0.369 0.275
B 0.298 0.702 0.000
B 0.631 0.822 0.725
B 0.798 0.202 0.500
C 0.146 0.854 0.500
C 0.325 0.184 0.745
C 0.466 0.035 0.248
C 0.501 0.499 0.500
C 0.645 0.355 0.000
C 0.816 0.675 0.255
C 0.965 0.534 0.752

Top 10 peaks for 5° ≤ 2θ ≤ 70°, low angle first:
d (Å)	I (rel.)
6.176	92
3.430	2
3.090	2
2.157	94
2.147	100
1.768	4
1.763	7
1.545	2
1.445	1
1.349	48